Starting from a structure optimized by DFT (PBE+U), the PXRD pattern of NaV4Cd3O12 was computed for copper Kα.
Neutral-atom scattering factors, no anomalous dispersion.

Atomic structure:
Cell: 5.3482 7.6468 5.3875 Å, 90.00 90.46 90.00°
Space group Pm (No. 6)
Inequivalent atoms, fractional coordinates:
Na 0.0000 0.0000 0.0000 x1
V 0.0049 0.2468 0.5305 x2
V 0.5073 0.2447 0.0315 x2
Cd 0.0121 0.5000 0.0651 x1
Cd 0.4994 0.5000 0.5682 x1
Cd 0.5122 0.0000 0.5008 x1
O 0.0949 0.0000 0.5556 x1
O 0.2078 0.2919 0.8270 x2
O 0.3095 0.2916 0.3217 x2
O 0.4373 0.0000 0.0553 x1
O 0.5912 0.5000 0.0109 x1
O 0.7004 0.2063 0.7469 x2
O 0.8002 0.2122 0.2489 x2
O 0.9213 0.5000 0.5110 x1

Largest 10 diffraction maxima, by angle, 15 to 90 degrees two-theta:
(1 2 -1), 2θ 33.2, 2.697 Å, I 100; (1 2 1), 2θ 33.3, 2.688 Å, I 67; (2 0 0), 2θ 33.5, 2.674 Å, I 33; (0 4 0), 2θ 47.6, 1.912 Å, I 23; (2 0 -2), 2θ 47.7, 1.905 Å, I 20; (2 0 2), 2θ 48.1, 1.890 Å, I 20; (0 4 2), 2θ 59.3, 1.559 Å, I 24; (2 4 0), 2θ 59.4, 1.555 Å, I 14; (3 2 -1), 2θ 59.6, 1.551 Å, I 26; (3 2 1), 2θ 59.9, 1.544 Å, I 16

Starting from a structure optimized by DFT (PBE+U), the PXRD pattern of KLiDy2Mo4O16 was computed for copper Kα.
Neutral-atom scattering factors, no anomalous dispersion.

Atomic structure:
Cell: 5.2759 12.7682 19.6421 Å, 90.00 93.18 90.00°
Space group C2/c (No. 15)
Inequivalent atoms, fractional coordinates:
K 0.0000 0.0310 0.2500 x4
Li 0.0000 0.3134 0.2500 x4
Dy 0.0011 0.1469 0.4678 x8
Mo 0.0104 0.2576 0.6478 x8
Mo 0.0193 0.4377 0.0915 x8
O 0.1084 0.4086 0.3296 x8
O 0.1289 0.1391 0.8269 x8
O 0.1638 0.3302 0.0421 x8
O 0.1774 0.2399 0.5665 x8
O 0.2317 0.2968 0.7137 x8
O 0.2330 0.4541 0.6012 x8
O 0.2408 0.0197 0.5370 x8
O 0.2491 0.3492 0.8681 x8

Largest 10 diffraction maxima, by angle, 15 to 90 degrees two-theta:
(1 1 -4), 2θ 25.1, 3.547 Å, I 53; (1 1 4), 2θ 26.4, 3.370 Å, I 57; (1 3 0), 2θ 26.9, 3.311 Å, I 49; (1 3 1), 2θ 27.5, 3.246 Å, I 60; (1 3 -2), 2θ 28.1, 3.170 Å, I 55; (1 1 -5), 2θ 28.5, 3.134 Å, I 100; (1 3 2), 2θ 28.8, 3.104 Å, I 47; (1 1 5), 2θ 30.0, 2.981 Å, I 74; (0 2 6), 2θ 30.7, 2.911 Å, I 69; (2 0 0), 2θ 34.0, 2.634 Å, I 50

Starting from a structure optimized by DFT (PBE+U), the PXRD pattern of SrCo2As2O8 was computed for copper Kα.
Neutral-atom scattering factors, no anomalous dispersion.

Atomic structure:
Cell: 5.7203 7.2270 9.5817 Å, 107.13 106.53 98.87°
Space group P1 (No. 1)
Inequivalent atoms, fractional coordinates:
Sr 0.0000 0.0000 0.0000 x1
Sr 0.3931 0.4954 0.9028 x1
Co 0.1264 0.4513 0.5122 x1
Co 0.2674 0.0444 0.3907 x1
Co 0.5231 0.4746 0.3000 x1
Co 0.8702 0.0208 0.6030 x1
As 0.0376 0.5659 0.1924 x1
As 0.3550 0.9295 0.7099 x1
As 0.6503 0.0286 0.2500 x1
As 0.7434 0.4670 0.6527 x1
O 0.0909 0.8037 0.1879 x1
O 0.1433 0.4059 0.0664 x1
O 0.1510 0.9283 0.5339 x1
O 0.2415 0.5663 0.3681 x1
O 0.2478 0.0889 0.8352 x1
O 0.3029 0.6916 0.7145 x1
O 0.4302 0.1741 0.2518 x1
O 0.4359 0.3198 0.5855 x1
O 0.5754 0.8752 0.0631 x1
O 0.6062 0.9230 0.3854 x1
O 0.6730 0.0180 0.7466 x1
O 0.7196 0.4780 0.1561 x1
O 0.7867 0.5736 0.5176 x1
O 0.8187 0.6202 0.8397 x1
O 0.9580 0.1753 0.3173 x1
O 0.9634 0.3213 0.6502 x1

Largest 10 diffraction maxima, by angle, 15 to 90 degrees two-theta:
(0 2 0), 2θ 26.7, 3.335 Å, I 100; (-1 1 2), 2θ 27.0, 3.297 Å, I 20; (1 -1 2), 2θ 28.7, 3.107 Å, I 24; (1 1 -3), 2θ 29.8, 2.995 Å, I 64; (1 1 1), 2θ 30.2, 2.958 Å, I 18; (1 0 2), 2θ 31.1, 2.878 Å, I 32; (2 0 -1), 2θ 31.7, 2.823 Å, I 42; (1 -2 2), 2θ 32.4, 2.761 Å, I 66; (-2 2 1), 2θ 38.4, 2.345 Å, I 30; (1 3 -3), 2θ 44.9, 2.017 Å, I 25

Starting from a structure optimized by DFT (PBE+U), the PXRD pattern of LiVPO5 was computed for copper Kα.
Neutral-atom scattering factors, no anomalous dispersion.

Atomic structure:
Cell: 4.9763 10.4650 7.2226 Å, 90.00 109.79 90.00°
Space group P2_1/c (No. 14)
Inequivalent atoms, fractional coordinates:
Li 0.0374 0.1051 0.1641 x4
V 0.4203 0.0776 0.8200 x4
P 0.1980 0.6500 0.9726 x4
O 0.1165 0.1905 0.6520 x4
O 0.2002 0.5729 0.1556 x4
O 0.2663 0.0409 0.9992 x4
O 0.3249 0.5704 0.8420 x4
O 0.3554 0.7229 0.5344 x4

Largest 10 diffraction maxima, by angle, 15 to 90 degrees two-theta:
(0 2 0), 2θ 16.9, 5.232 Å, I 24; (1 0 0), 2θ 19.0, 4.682 Å, I 23; (1 1 -1), 2θ 20.8, 4.263 Å, I 100; (0 2 1), 2θ 21.4, 4.146 Å, I 87; (1 2 0), 2θ 25.5, 3.488 Å, I 23; (1 1 -2), 2θ 28.0, 3.182 Å, I 82; (0 3 1), 2θ 28.8, 3.103 Å, I 26; (1 2 1), 2θ 31.6, 2.828 Å, I 97; (1 4 1), 2θ 43.9, 2.064 Å, I 43; (3 3 -2), 2θ 62.3, 1.489 Å, I 19

Starting from a structure optimized by DFT (PBE+U), the PXRD pattern of RbV2CrO7 was computed for copper Kα.
Neutral-atom scattering factors, no anomalous dispersion.

Atomic structure:
Cell: 8.6704 4.9557 6.9856 Å, 90.00 101.25 90.00°
Space group P2/c (No. 13)
Inequivalent atoms, fractional coordinates:
Rb 0.0000 0.1104 0.2500 x2
V 0.3332 0.4966 0.1250 x4
Cr 0.5000 0.0000 0.0000 x2
O 0.1573 0.3768 0.6202 x4
O 0.2990 0.1782 0.0216 x4
O 0.3893 0.3417 0.3886 x4
O 0.5000 0.2166 0.7500 x2

Largest 10 diffraction maxima, by angle, 15 to 90 degrees two-theta:
(1 1 0), 2θ 20.7, 4.282 Å, I 20; (2 1 0), 2θ 27.6, 3.227 Å, I 93; (1 0 2), 2θ 30.0, 2.982 Å, I 75; (1 1 -2), 2θ 31.8, 2.813 Å, I 100; (3 1 -1), 2θ 36.7, 2.452 Å, I 29; (1 2 1), 2θ 40.8, 2.210 Å, I 33; (1 1 -3), 2θ 43.0, 2.103 Å, I 26; (4 1 0), 2θ 46.5, 1.954 Å, I 32; (1 2 2), 2θ 47.7, 1.906 Å, I 18; (0 1 4), 2θ 56.9, 1.619 Å, I 28

Starting from a structure optimized by DFT (PBE+U), the PXRD pattern of KTmMo2O8 was computed for copper Kα.
Neutral-atom scattering factors, no anomalous dispersion.

Atomic structure:
Cell: 10.7313 10.3248 7.6965 Å, 90.00 131.09 90.00°
Space group C2/c (No. 15)
Inequivalent atoms, fractional coordinates:
K 0.0000 0.1997 0.2500 x4
Tm 0.0000 0.2287 0.7500 x4
Mo 0.1976 0.4992 0.2384 x8
O 0.0229 0.3894 0.9674 x8
O 0.1251 0.0820 0.6918 x8
O 0.1917 0.4208 0.4409 x8
O 0.2227 0.1588 0.1196 x8

Largest 10 diffraction maxima, by angle, 15 to 90 degrees two-theta:
(1 1 1), 2θ 25.6, 3.483 Å, I 18; (3 1 -2), 2θ 27.9, 3.199 Å, I 26; (2 2 0), 2θ 28.0, 3.183 Å, I 100; (1 3 0), 2θ 28.2, 3.167 Å, I 19; (2 2 -2), 2θ 29.0, 3.079 Å, I 100; (0 0 2), 2θ 30.8, 2.900 Å, I 45; (0 4 0), 2θ 34.8, 2.581 Å, I 17; (0 4 2), 2θ 47.1, 1.928 Å, I 28; (2 2 2), 2θ 52.5, 1.742 Å, I 15; (2 2 -4), 2θ 54.3, 1.690 Å, I 22